# 1
# Li3PrBr6
Calculated X-ray diffraction stick pattern, Cu Kα, 1.54184 Å. Input: a crystal structure in Alexandria, relaxed with GGA-PBE.
Lines closer than 0.1° are merged.

Main lines, by angle (2θ = 15–90°):
Position (°2θ)	I (rel.)
19.11	38
23.05	19
25.71	21
27.43	29
28.97	70
30.15	44
32.47	16
37.95	100
38.77	28
49.88	21
57.95	21
69.65	27

Cell and atoms:
Cell lengths 8.292, 8.292, 4.645 Å; angles 90.00, 90.00, 113.41 degrees
Element x y z (fractional)
Li (0.000, 0.000, 0.000)
Li (0.000, 0.500, 0.500)
Li (0.500, 0.000, 0.500)
Pr (0.500, 0.500, 0.000)
Br (0.083, 0.333, 0.000)
Br (0.333, 0.083, 0.000)
Br (0.359, 0.641, 0.500)
Br (0.641, 0.359, 0.500)
Br (0.667, 0.917, 0.000)
Br (0.917, 0.667, 0.000)


# 2
# Ac2La2Er5
Calculated X-ray diffraction stick pattern, Cu Kα, 1.54184 Å. Input: a crystal structure in Alexandria, relaxed with GGA-PBE.
Lines closer than 0.1° are merged.

Main lines, by angle (2θ = 15–90°):
Position (°2θ)	I (rel.)
29.48	100
29.72	79
30.11	74
32.13	61
35.53	61
48.40	24
48.91	21
50.57	19
51.69	24
59.76	22
59.98	21
61.19	20

Cell and atoms:
Cell lengths 10.124, 10.124, 8.946 Å; angles 95.44, 95.44, 20.54 degrees
Element x y z (fractional)
Ac (0.169, 0.169, 0.485)
Ac (0.831, 0.831, 0.515)
La (0.398, 0.398, 0.176)
La (0.602, 0.602, 0.824)
Er (0.000, 0.000, 0.500)
Er (0.061, 0.061, 0.149)
Er (0.276, 0.276, 0.846)
Er (0.724, 0.724, 0.154)
Er (0.939, 0.939, 0.851)


# 3
# CaLaBiTe
Calculated X-ray diffraction stick pattern, Cu Kα, 1.54184 Å. Input: a crystal structure in Alexandria, relaxed with GGA-PBE.
Lines closer than 0.1° are merged.

Main lines, by angle (2θ = 15–90°):
Position (°2θ)	I (rel.)
22.38	9
23.42	12
27.20	100
38.63	40
39.07	38
47.89	21
56.11	13
63.14	19
63.76	18
70.20	14
89.19	8
89.74	7

Cell and atoms:
Cell lengths 7.959, 7.959, 7.959 Å; angles 34.05, 34.05, 34.05 degrees
Element x y z (fractional)
Ca (0.000, 0.000, 0.000)
La (0.495, 0.495, 0.495)
Bi (0.748, 0.748, 0.748)
Te (0.249, 0.249, 0.249)


# 4
# Ce2DyPN5
Calculated X-ray diffraction stick pattern, Cu Kα, 1.54184 Å. Input: a crystal structure in Alexandria, relaxed with GGA-PBE.
Lines closer than 0.1° are merged.

Main lines, by angle (2θ = 15–90°):
Position (°2θ)	I (rel.)
25.05	28
30.78	16
31.85	100
34.78	40
39.23	16
44.09	20
44.92	25
51.42	15
55.44	14
56.80	14
61.10	11
62.92	12

Cell and atoms:
Cell lengths 6.496, 6.496, 5.611 Å; angles 90.00, 90.00, 90.00 degrees
Element x y z (fractional)
Ce (0.178, 0.322, 0.000)
Ce (0.322, 0.822, 0.000)
Ce (0.678, 0.178, 0.000)
Ce (0.822, 0.678, 0.000)
Dy (0.000, 0.000, 0.500)
Dy (0.500, 0.500, 0.500)
P (0.000, 0.500, 0.500)
P (0.500, 0.000, 0.500)
N (0.000, 0.000, 0.000)
N (0.135, 0.635, 0.284)
N (0.135, 0.635, 0.716)
N (0.365, 0.135, 0.284)
N (0.365, 0.135, 0.716)
N (0.500, 0.500, 0.000)
N (0.635, 0.865, 0.284)
N (0.635, 0.865, 0.716)
N (0.865, 0.365, 0.284)
N (0.865, 0.365, 0.716)


# 5
# Nd2BN2
Calculated X-ray diffraction stick pattern, Cu Kα, 1.54184 Å. Input: a crystal structure in Alexandria, relaxed with GGA-PBE.
Lines closer than 0.1° are merged.

Main lines, by angle (2θ = 15–90°):
Position (°2θ)	I (rel.)
24.69	42
28.37	38
29.50	37
30.42	100
32.68	41
37.25	77
40.93	23
44.78	26
45.20	27
52.26	22
55.44	26
68.50	23

Cell and atoms:
Cell lengths 7.377, 7.377, 6.435 Å; angles 90.00, 90.00, 155.77 degrees
Element x y z (fractional)
Nd (0.040, 0.960, 0.500)
Nd (0.232, 0.768, 0.206)
Nd (0.768, 0.232, 0.706)
Nd (0.960, 0.040, 0.000)
B (0.383, 0.617, 0.479)
B (0.617, 0.383, 0.979)
N (0.128, 0.872, 0.861)
N (0.418, 0.582, 0.692)
N (0.582, 0.418, 0.192)
N (0.872, 0.128, 0.361)


# 6
# NiSn4Pt
Calculated X-ray diffraction stick pattern, Cu Kα, 1.54184 Å. Input: a crystal structure in Alexandria, relaxed with GGA-PBE.
Lines closer than 0.1° are merged.

Main lines, by angle (2θ = 15–90°):
Position (°2θ)	I (rel.)
25.70	13
28.76	69
30.49	22
32.50	45
33.11	43
33.23	63
34.92	33
36.64	20
44.26	44
44.52	100
56.74	16
58.61	13

Cell and atoms:
Cell lengths 6.949, 6.925, 5.510 Å; angles 90.00, 90.53, 90.00 degrees
Element x y z (fractional)
Ni (0.000, 0.000, 0.000)
Ni (0.000, 0.500, 0.500)
Sn (0.142, 0.144, 0.409)
Sn (0.142, 0.356, 0.909)
Sn (0.341, 0.634, 0.428)
Sn (0.341, 0.866, 0.928)
Sn (0.659, 0.134, 0.072)
Sn (0.659, 0.366, 0.572)
Sn (0.858, 0.644, 0.091)
Sn (0.858, 0.856, 0.591)
Pt (0.500, 0.000, 0.500)
Pt (0.500, 0.500, 0.000)


# 7
# Cs2H2SCl2
Calculated X-ray diffraction stick pattern, Cu Kα, 1.54184 Å. Input: a crystal structure in Alexandria, relaxed with GGA-PBE.
Lines closer than 0.1° are merged.

Main lines, by angle (2θ = 15–90°):
Position (°2θ)	I (rel.)
18.69	100
19.19	42
22.58	72
25.75	62
26.93	95
27.43	86
27.85	55
28.98	47
30.43	37
30.68	48
37.94	57
38.97	37

Cell and atoms:
Cell lengths 4.836, 6.567, 7.077 Å; angles 86.31, 77.97, 77.41 degrees
Element x y z (fractional)
Cs (0.001, 0.270, 0.231)
Cs (0.999, 0.730, 0.769)
H (0.462, 0.855, 0.349)
H (0.538, 0.145, 0.651)
S (0.500, 0.000, 0.500)
Cl (0.403, 0.707, 0.186)
Cl (0.597, 0.293, 0.814)


# 8
# VTcH
Calculated X-ray diffraction stick pattern, Cu Kα, 1.54184 Å. Input: a crystal structure in Alexandria, relaxed with GGA-PBE.
Lines closer than 0.1° are merged.

Main lines, by angle (2θ = 15–90°):
Position (°2θ)	I (rel.)
18.93	8
27.60	14
30.71	8
38.41	23
40.43	30
41.76	100
43.62	14
56.99	14
63.96	7
74.43	17
78.45	8
82.29	8

Cell and atoms:
Cell lengths 5.518, 5.518, 4.462 Å; angles 90.00, 90.00, 116.32 degrees
Element x y z (fractional)
V (0.115, 0.885, 0.750)
V (0.385, 0.615, 0.250)
V (0.615, 0.385, 0.750)
V (0.885, 0.115, 0.250)
Tc (0.095, 0.405, 0.750)
Tc (0.405, 0.095, 0.250)
Tc (0.595, 0.905, 0.750)
Tc (0.905, 0.595, 0.250)
H (0.250, 0.250, 0.000)
H (0.250, 0.250, 0.500)
H (0.750, 0.750, 0.000)
H (0.750, 0.750, 0.500)